Record 1
Structure and calculated powder diffractogram of K7IO2F2 (the PBE geometry in Alexandria; Cu Kα (weighted mean of Kα1 and Kα2)).

Structure:
```
data_K7IO2F2
_chemical_formula_sum 'K14 I2 O4 F4'
_cell_length_a 7.6408
_cell_length_b 7.3912
_cell_length_c 13.0372
_cell_angle_alpha 90.00
_cell_angle_beta 106.70
_cell_angle_gamma 90.00
_space_group_name_H-M_alt 'C 1 2/m 1'
_space_group_IT_number 12
loop_
_space_group_symop_operation_xyz
'x,y,z'
'-x,-y,-z'
'-x,y,-z'
'x,-y,z'
'x+1/2,y+1/2,z'
'-x+1/2,-y+1/2,-z'
'-x+1/2,y+1/2,-z'
'x+1/2,-y+1/2,z'
loop_
_atom_site_label
_atom_site_type_symbol
_atom_site_fract_x
_atom_site_fract_y
_atom_site_fract_z
K1 K 0.0000 0.0000 0.0000
K2 K 0.1580 0.0000 0.4181
K3 K 0.1618 0.2344 0.7814
I1 I 0.0000 0.5000 0.0000
O1 O 0.1123 0.0000 0.2167
F1 F 0.1987 0.0000 0.6223
```

Principal peaks in the range 2θ from 15° to 90°, sorted by position:
| 2θ/deg | I/Imax | h k l |
| --- | --- | --- |
| 17.1 | 36.1 | 1 1 -1 |
| 19.8 | 68.2 | 1 1 1 |
| 27.3 | 43.1 | 2 0 1 |
| 27.4 | 54.4 | 2 0 -3 |
| 28.1 | 97.9 | 0 2 2 |
| 32.4 | 41.9 | 0 2 3 |
| 33.7 | 100.0 | 2 2 -1 |
| 36.0 | 42.4 | 0 0 5 |
| 50.0 | 39.9 | 2 2 4 |
| 57.3 | 32.6 | 0 2 7 |

---

Record 2
Structure and calculated powder diffractogram of UFe4B4 (the PBE geometry in Alexandria; Cu Kα (weighted mean of Kα1 and Kα2)).

Structure:
```
data_UFe4B4
_chemical_formula_sum 'U2 Fe8 B8'
_cell_length_a 5.0368
_cell_length_b 5.0368
_cell_length_c 6.8572
_cell_angle_alpha 90.00
_cell_angle_beta 90.00
_cell_angle_gamma 90.00
_space_group_name_H-M_alt 'P 42/n m c'
_space_group_IT_number 137
loop_
_space_group_symop_operation_xyz
'x,y,z'
'-x,-y,-z'
'-y+1/2,x,z+1/2'
'y+1/2,-x,-z+1/2'
'-x+1/2,-y+1/2,z'
'x+1/2,y+1/2,-z'
'y,-x+1/2,z+1/2'
'-y,x+1/2,-z+1/2'
'x+1/2,-y,-z'
'-x+1/2,y,z'
'-y,-x,-z+1/2'
'y,x,z+1/2'
'-x,y+1/2,-z'
'x,-y+1/2,z'
'y+1/2,x+1/2,-z+1/2'
'-y+1/2,-x+1/2,z+1/2'
loop_
_atom_site_label
_atom_site_type_symbol
_atom_site_fract_x
_atom_site_fract_y
_atom_site_fract_z
U1 U 0.2500 0.7500 0.2500
Fe1 Fe 0.0065 0.7500 0.6109
B1 B 0.0774 0.2500 0.0935
```

Principal peaks in the range 2θ from 15° to 90°, sorted by position:
| 2θ/deg | I/Imax | h k l |
| --- | --- | --- |
| 21.9 | 54.3 | 1 0 1 |
| 25.0 | 49.5 | 1 1 0 |
| 35.7 | 23.2 | 2 0 0 |
| 36.4 | 42.7 | 1 1 2 |
| 38.1 | 18.0 | 2 0 1 |
| 42.2 | 100.0 | 2 1 1 |
| 43.5 | 56.3 | 1 0 3 |
| 44.6 | 23.0 | 2 0 2 |
| 68.6 | 24.1 | 3 2 1 |
| 77.2 | 18.0 | 2 2 4 |

---

Record 3
Structure and calculated powder diffractogram of Pu2ThTl3Se6 (the PBE geometry in Alexandria; Cu Kα (weighted mean of Kα1 and Kα2)).

Structure:
```
data_Pu2ThTl3Se6
_chemical_formula_sum 'Pu4 Th2 Tl6 Se12'
_cell_length_a 7.4296
_cell_length_b 12.8661
_cell_length_c 8.1317
_cell_angle_alpha 90.00
_cell_angle_beta 107.70
_cell_angle_gamma 90.00
_space_group_name_H-M_alt 'C 1 2/m 1'
_space_group_IT_number 12
loop_
_space_group_symop_operation_xyz
'x,y,z'
'-x,-y,-z'
'-x,y,-z'
'x,-y,z'
'x+1/2,y+1/2,z'
'-x+1/2,-y+1/2,-z'
'-x+1/2,y+1/2,-z'
'x+1/2,-y+1/2,z'
loop_
_atom_site_label
_atom_site_type_symbol
_atom_site_fract_x
_atom_site_fract_y
_atom_site_fract_z
Pu1 Pu 0.0000 0.1664 0.0000
Th1 Th 0.0000 0.5000 0.0000
Tl1 Tl 0.0000 0.0000 0.5000
Tl2 Tl 0.0000 0.3315 0.5000
Se1 Se 0.2341 0.3344 0.2061
Se2 Se 0.2383 0.0000 0.2075
```

Principal peaks in the range 2θ from 15° to 90°, sorted by position:
| 2θ/deg | I/Imax | h k l |
| --- | --- | --- |
| 23.0 | 14.2 | 0 0 2 |
| 25.2 | 29.4 | 2 0 0 |
| 28.5 | 100.0 | 1 3 1 |
| 39.4 | 38.3 | 2 0 2 |
| 42.1 | 36.5 | 0 6 0 |
| 48.5 | 12.5 | 3 3 1 |
| 51.7 | 19.6 | 4 0 0 |
| 59.0 | 11.9 | 2 6 2 |
| 64.9 | 15.2 | 3 3 3 |
| 68.8 | 16.8 | 4 6 0 |

---

Record 4
Structure and calculated powder diffractogram of Rb2ReSnN4 (the PBE geometry in Alexandria; Cu Kα (weighted mean of Kα1 and Kα2)).

Structure:
```
data_Rb2ReSnN4
_chemical_formula_sum 'Rb4 Re2 Sn2 N8'
_cell_length_a 6.2457
_cell_length_b 7.3476
_cell_length_c 7.1163
_cell_angle_alpha 90.00
_cell_angle_beta 90.00
_cell_angle_gamma 90.00
_space_group_name_H-M_alt 'P m m n'
_space_group_IT_number 59
loop_
_space_group_symop_operation_xyz
'x,y,z'
'-x,-y,-z'
'-x+1/2,-y+1/2,z'
'x+1/2,y+1/2,-z'
'x+1/2,-y,-z'
'-x+1/2,y,z'
'-x,y+1/2,-z'
'x,-y+1/2,z'
loop_
_atom_site_label
_atom_site_type_symbol
_atom_site_fract_x
_atom_site_fract_y
_atom_site_fract_z
Rb1 Rb 0.2500 0.0058 0.2082
Re1 Re 0.2500 0.7500 0.6477
Sn1 Sn 0.2500 0.2500 0.6861
N1 N 0.0043 0.7500 0.5071
N2 N 0.2500 0.5464 0.7991
```

Principal peaks in the range 2θ from 15° to 90°, sorted by position:
| 2θ/deg | I/Imax | h k l |
| --- | --- | --- |
| 18.9 | 14.3 | 1 0 1 |
| 25.0 | 20.8 | 0 0 2 |
| 27.3 | 24.1 | 0 2 1 |
| 28.6 | 43.1 | 2 0 0 |
| 28.9 | 40.7 | 1 0 2 |
| 30.9 | 100.0 | 1 2 1 |
| 38.4 | 19.1 | 2 0 2 |
| 45.5 | 17.0 | 0 2 3 |
| 52.1 | 23.6 | 3 2 1 |
| 54.6 | 24.5 | 2 2 3 |

---

Which formula does entry 1 have? K7IO2F2

---

Which formula does entry 4 have? Rb2ReSnN4

---

Number 1 is which compound? K7IO2F2